Starting from DFT lattice parameters and positions (PBE), the powder diffraction line list of Tl2SbPb was calculated for copper Kα.

The 8 most intense peaks (15° ≤ 2θ ≤ 90°), in order of rising 2θ:
2θ = 30.8°, 2.899 Å, rel. 95
2θ = 31.3°, 2.857 Å, rel. 100
2θ = 33.8°, 2.653 Å, rel. 38
2θ = 37.1°, 2.422 Å, rel. 60
2θ = 51.1°, 1.789 Å, rel. 44
2θ = 58.9°, 1.568 Å, rel. 14
2θ = 62.8°, 1.480 Å, rel. 22
2θ = 63.6°, 1.463 Å, rel. 25

Crystal structure
a b c (Å): 6.7796 10.6114 6.9230
angles (deg): 90.00 90.00 90.00
Space group Imma (No. 74)
One atom of each set of equivalent atoms:
Tl 0.2500 0.0162 0.2500
Sb 0.0000 0.2500 0.0016
Pb 0.0000 0.2500 0.5449

Starting from DFT lattice parameters and positions (PBE), the powder diffraction line list of La2YMg9 was calculated for copper Kα.

The 8 most intense peaks (15° ≤ 2θ ≤ 90°), in order of rising 2θ:
2θ = 17.0°, 5.206 Å, rel. 41
2θ = 26.9°, 3.316 Å, rel. 66
2θ = 29.3°, 3.050 Å, rel. 100
2θ = 34.0°, 2.634 Å, rel. 33
2θ = 34.5°, 2.600 Å, rel. 90
2θ = 50.4°, 1.809 Å, rel. 23
2θ = 51.9°, 1.762 Å, rel. 27
2θ = 55.3°, 1.661 Å, rel. 24

Crystal structure
a b c (Å): 6.1058 6.1058 29.7986
angles (deg): 90.00 90.00 120.00
Space group R-3m (No. 166, hexagonal axes)
One atom of each set of equivalent atoms:
La 0.0000 0.0000 0.1421
Y 0.0000 0.0000 0.0000
Mg 0.0000 0.0000 0.3339
Mg 0.0000 0.0000 0.5000
Mg 0.0028 0.5014 0.9180

Starting from DFT lattice parameters and positions (PBE), the powder diffraction line list of Tb2Pr2Sm4Mg was calculated for copper Kα.

The 8 most intense peaks (15° ≤ 2θ ≤ 90°), in order of rising 2θ:
2θ = 26.3°, 3.390 Å, rel. 28
2θ = 29.8°, 3.001 Å, rel. 31
2θ = 30.7°, 2.914 Å, rel. 38
2θ = 31.2°, 2.867 Å, rel. 61
2θ = 31.5°, 2.841 Å, rel. 100
2θ = 32.7°, 2.738 Å, rel. 36
2θ = 37.2°, 2.415 Å, rel. 24
2θ = 51.1°, 1.789 Å, rel. 24

Crystal structure
a b c (Å): 6.6921 7.0392 7.6746
angles (deg): 88.90 73.69 62.92
Space group P-1 (No. 2)
One atom of each set of equivalent atoms:
Tb 0.0303 0.1628 0.1462
Pr 0.0247 0.6823 0.3234
Sm 0.4062 0.3534 0.8943
Sm 0.4970 0.8715 0.7187
Mg 0.5000 0.5000 0.5000